# AcPmPd2
Simulated powder X-ray diffraction pattern, a wavelength of 1.5418 Å. Input: a structure optimized by DFT (PBE).
Kinematic intensities with the Lorentz-polarization factor, no thermal factor.

Cell and atoms:
```
data_AcPmPd2
_chemical_formula_sum 'Ac2 Pm2 Pd4'
_symmetry_space_group_name_H-M 'A m m 2'
_symmetry_Int_Tables_number 38
_cell_length_a 4.6824
_cell_length_b 4.0153
_cell_length_c 11.1893
_cell_angle_alpha 90.00
_cell_angle_beta 90.00
_cell_angle_gamma 90.00
loop_
_symmetry_equiv_pos_as_xyz
'x,y,z'
'-x,-y,z'
'-x,y,z'
'x,-y,z'
'x,y+1/2,z+1/2'
'-x,-y+1/2,z+1/2'
'-x,y+1/2,z+1/2'
'x,-y+1/2,z+1/2'
loop_
_atom_site_label
_atom_site_type_symbol
_atom_site_fract_x
_atom_site_fract_y
_atom_site_fract_z
Ac1 Ac 0.0000 0.0000 0.0000
Pm1 Pm 0.5000 0.0000 0.2710
Pd1 Pd 0.0000 0.0000 0.7255
Pd2 Pd 0.5000 0.0000 0.5543
```

Most intense lines, 10 to 80 degrees two-theta, low angle first:
- hkl 1 0 2, 2θ = 24.8°, 3.591 Å, I = 16
- hkl 1 1 1, 2θ = 30.4°, 2.941 Å, I = 100
- hkl 0 0 4, 2θ = 32.0°, 2.797 Å, I = 32
- hkl 0 1 3, 2θ = 32.8°, 2.733 Å, I = 24
- hkl 1 0 4, 2θ = 37.4°, 2.401 Å, I = 16
- hkl 1 1 3, 2θ = 38.1°, 2.360 Å, I = 63
- hkl 2 0 0, 2θ = 38.5°, 2.341 Å, I = 30
- hkl 0 2 0, 2θ = 45.2°, 2.008 Å, I = 19
- hkl 2 0 4, 2θ = 50.9°, 1.795 Å, I = 18
- hkl 2 1 3, 2θ = 51.4°, 1.778 Å, I = 14
- hkl 2 2 0, 2θ = 60.8°, 1.524 Å, I = 16
- hkl 2 2 4, 2θ = 70.3°, 1.338 Å, I = 13